Structure and computed X-ray diffraction stick pattern of Bi5S8 (a crystal structure in Alexandria, relaxed with PBE; Cu Kα (λ = 1.5418 Å)).
Neutral-atom scattering factors, no anomalous dispersion.

a = 11.722 Å, b = 11.722 Å, c = 11.722 Å
α = 90.00°, β = 90.00°, γ = 90.00°
Space group F-43m (No. 216)
Asymmetric unit:
Bi: 0.000 0.000 0.000 x4
Bi: 0.117 0.117 0.617 x16
S: 0.116 0.116 0.384 x16
S: 0.129 0.129 0.871 x16

Top 10 peaks for 2θ from 10° to 90°, by intensity:
d = 3.534 Å, I 100, hkl 3 1 1; d = 2.072 Å, I 60, hkl 4 4 0; d = 2.256 Å, I 52, hkl 5 1 1; d = 6.768 Å, I 43, hkl 1 1 1; d = 2.930 Å, I 38, hkl 4 0 0; d = 3.384 Å, I 32, hkl 2 2 2; d = 1.526 Å, I 27, hkl 5 5 3; d = 5.861 Å, I 23, hkl 2 0 0; d = 1.196 Å, I 19, hkl 8 4 4; d = 2.689 Å, I 18, hkl 3 3 1